Diffraction record for La4Tb3Th2. The XRD peak list is theoretical, not measured: it uses a DFT-relaxed cell (GGA-PBE, Alexandria) and Cu Ka.

Structure:
a = 6.344 Å, b = 6.362 Å, c = 9.069 Å
α = 96.48°, β = 96.92°, γ = 119.85°
Positions (direct):
La 0.129 0.449 0.342
La 0.331 0.675 0.987
La 0.669 0.325 0.013
La 0.871 0.551 0.658
Tb 0.000 0.000 0.000
Tb 0.228 0.209 0.669
Tb 0.772 0.791 0.331
Th 0.425 0.090 0.334
Th 0.575 0.910 0.666

Principal peaks in the range 10° ≤ 2θ ≤ 90°, low angle first:
h k l  d/Å  I_rel
1 1 -1  3.160  37
1 1 0  3.091  36
0 0 3  2.940  80
-1 2 1  2.870  100
2 -1 1  2.856  53
1 1 1  2.730  43
-2 1 2  2.723  96
3 -3 0  1.833  40
-2 1 5  1.626  20
-3 3 3  1.558  35